Computed X-ray powder pattern of SrMg4Pb4 for Cu Kα (weighted mean of Kα1 and Kα2), from a DFT-relaxed cell (PBE, Alexandria).
No peak broadening, texture or thermal motion is included.

Main lines, low angle first (2θ from 10° to 80°):
| (hkl) | 2θ/deg | d_spacing | I (rel.) |
| --- | --- | --- | --- |
| 0 0 2 | 17.91 | 4.954 | 37 |
| 2 0 1 | 25.81 | 3.452 | 100 |
| 2 1 1 | 28.56 | 3.126 | 18 |
| 1 0 3 | 29.64 | 3.014 | 15 |
| 2 2 0 | 34.44 | 2.604 | 29 |
| 2 0 3 | 36.54 | 2.459 | 38 |
| 2 2 2 | 39.08 | 2.305 | 36 |
| 4 0 0 | 49.50 | 1.841 | 15 |
| 4 2 1 | 56.65 | 1.625 | 22 |
| 4 2 3 | 63.07 | 1.474 | 14 |

Crystal structure
Cell: 7.3658 7.3658 9.9078 Å, 90.00 90.00 90.00°
Space group P4_2/nmc (No. 137, origin choice 2)
Inequivalent atoms, fractional coordinates:
Sr 0.2500 0.7500 0.2500 x2
Mg 0.0262 0.2500 0.1619 x8
Pb 0.0195 0.2500 0.4610 x8

---

Computed X-ray powder pattern of Sr2MgPb9 for Cu Kα (weighted mean of Kα1 and Kα2), from a DFT-relaxed cell (PBE, Alexandria).
No peak broadening, texture or thermal motion is included.

Main lines, low angle first (2θ from 10° to 80°):
| (hkl) | 2θ/deg | d_spacing | I (rel.) |
| --- | --- | --- | --- |
| 1 0 0 | 17.65 | 5.025 | 8 |
| 1 0 3 | 25.38 | 3.509 | 7 |
| 1 1 3 | 31.08 | 2.877 | 100 |
| 2 0 0 | 35.73 | 2.513 | 36 |
| 0 0 6 | 36.66 | 2.451 | 15 |
| 2 2 0 | 51.43 | 1.777 | 13 |
| 2 0 6 | 52.13 | 1.755 | 22 |
| 3 1 3 | 61.32 | 1.512 | 30 |
| 1 1 9 | 62.57 | 1.485 | 12 |
| 2 2 6 | 64.81 | 1.439 | 12 |

Crystal structure
Cell: 5.0254 5.0254 14.7064 Å, 90.00 90.00 90.00°
Space group P4/mmm (No. 123)
Inequivalent atoms, fractional coordinates:
Sr 0.0000 0.0000 0.1698 x2
Mg 0.0000 0.0000 0.5000 x1
Pb 0.0000 0.5000 0.0000 x2
Pb 0.0000 0.5000 0.3462 x4
Pb 0.5000 0.5000 0.1729 x2
Pb 0.5000 0.5000 0.5000 x1

---

Computed X-ray powder pattern of Sr4Mg5Pb6 for Cu Kα (weighted mean of Kα1 and Kα2), from a DFT-relaxed cell (PBE, Alexandria).
No peak broadening, texture or thermal motion is included.

Main lines, low angle first (2θ from 10° to 80°):
| (hkl) | 2θ/deg | d_spacing | I (rel.) |
| --- | --- | --- | --- |
| 0 2 4 | 21.73 | 4.090 | 96 |
| 1 3 1 | 22.26 | 3.995 | 73 |
| 1 1 3 | 23.91 | 3.722 | 59 |
| 0 4 4 | 25.91 | 3.439 | 48 |
| 0 2 5 | 26.57 | 3.355 | 45 |
| 1 1 4 | 27.49 | 3.244 | 90 |
| 1 5 3 | 31.16 | 2.871 | 100 |
| 2 0 0 | 36.38 | 2.470 | 74 |
| 1 7 4 | 39.61 | 2.275 | 57 |
| 1 3 7 | 42.19 | 2.142 | 75 |

Crystal structure
Cell: 4.9392 22.0895 17.5786 Å, 90.00 90.00 90.00°
Space group Cmc2_1 (No. 36)
Inequivalent atoms, fractional coordinates:
Sr 0.0000 0.0229 0.0000 x4
Sr 0.0000 0.0358 0.2652 x4
Sr 0.0000 0.1638 0.7998 x4
Sr 0.0000 0.1808 0.4411 x4
Mg 0.0000 0.1545 0.1254 x4
Mg 0.0000 0.3024 0.1155 x4
Mg 0.0000 0.3391 0.7654 x4
Mg 0.0000 0.3513 0.4865 x4
Mg 0.0000 0.4398 0.1769 x4
Pb 0.0000 0.1109 0.6121 x4
Pb 0.0000 0.2196 0.9794 x4
Pb 0.0000 0.2323 0.2620 x4
Pb 0.0000 0.4261 0.9107 x4
Pb 0.0000 0.4288 0.6310 x4
Pb 0.0000 0.4422 0.3549 x4

---

Computed X-ray powder pattern of Sr2Mg12Pb7 for Cu Kα (weighted mean of Kα1 and Kα2), from a DFT-relaxed cell (PBE, Alexandria).
No peak broadening, texture or thermal motion is included.

Main lines, low angle first (2θ from 10° to 80°):
| (hkl) | 2θ/deg | d_spacing | I (rel.) |
| --- | --- | --- | --- |
| 0 1 1 | 20.84 | 4.263 | 26 |
| 1 2 0 | 22.84 | 3.893 | 100 |
| 2 -1 1 | 24.19 | 3.679 | 41 |
| 0 2 1 | 25.71 | 3.464 | 42 |
| 2 1 1 | 29.85 | 2.993 | 52 |
| 3 1 1 | 36.86 | 2.439 | 32 |
| 4 1 0 | 40.12 | 2.248 | 46 |
| 5 -2 1 | 42.87 | 2.109 | 26 |
| 1 2 2 | 45.19 | 2.006 | 23 |
| 5 -4 2 | 56.78 | 1.621 | 19 |

Crystal structure
Cell: 11.8927 11.8927 4.6824 Å, 90.00 90.00 120.00°
Space group P-3 (No. 147)
Inequivalent atoms, fractional coordinates:
Sr 0.3333 0.6667 0.2548 x2
Mg 0.0444 0.6180 0.7486 x6
Mg 0.1089 0.8494 0.2485 x6
Pb 0.0000 0.0000 0.5000 x1
Pb 0.1279 0.4208 0.7546 x6

---

Computed X-ray powder pattern of Sr2Mg5Pb3 for Cu Kα (weighted mean of Kα1 and Kα2), from a DFT-relaxed cell (PBE, Alexandria).
No peak broadening, texture or thermal motion is included.

Main lines, low angle first (2θ from 10° to 80°):
| (hkl) | 2θ/deg | d_spacing | I (rel.) |
| --- | --- | --- | --- |
| 1 0 1 | 19.67 | 4.514 | 49 |
| 1 0 2 | 22.72 | 3.915 | 72 |
| 1 0 3 | 27.08 | 3.293 | 40 |
| 1 1 2 | 29.48 | 3.030 | 100 |
| 1 1 3 | 33.02 | 2.712 | 54 |
| 1 1 4 | 37.48 | 2.399 | 30 |
| 2 0 0 | 37.59 | 2.393 | 59 |
| 1 0 5 | 38.03 | 2.366 | 58 |
| 2 1 2 | 44.37 | 2.041 | 26 |
| 2 1 5 | 54.54 | 1.682 | 41 |

Crystal structure
Cell: 4.7852 4.7852 13.6123 Å, 90.00 90.00 90.00°
Space group P-4m2 (No. 115)
Inequivalent atoms, fractional coordinates:
Sr 0.0000 0.5000 0.2461 x2
Mg 0.0000 0.0000 0.0000 x1
Mg 0.0000 0.0000 0.5000 x1
Mg 0.0000 0.5000 0.8668 x2
Mg 0.5000 0.5000 0.0000 x1
Pb 0.0000 0.5000 0.6545 x2
Pb 0.5000 0.5000 0.5000 x1

---

Computed X-ray powder pattern of SrMg3Pb9 for Cu Kα (weighted mean of Kα1 and Kα2), from a DFT-relaxed cell (PBE, Alexandria).
No peak broadening, texture or thermal motion is included.

Main lines, low angle first (2θ from 10° to 80°):
| (hkl) | 2θ/deg | d_spacing | I (rel.) |
| --- | --- | --- | --- |
| 1 1 -1 | 16.79 | 5.281 | 28 |
| 1 3 -2 | 28.41 | 3.141 | 35 |
| 2 0 -1 | 29.07 | 3.071 | 43 |
| 1 1 2 | 31.25 | 2.863 | 42 |
| 1 5 0 | 31.56 | 2.835 | 100 |
| 1 1 -3 | 33.23 | 2.696 | 21 |
| 1 5 1 | 35.10 | 2.557 | 47 |
| 2 0 1 | 35.60 | 2.522 | 22 |
| 2 4 -1 | 36.73 | 2.447 | 27 |
| 1 3 -3 | 36.86 | 2.439 | 22 |

Crystal structure
Cell: 6.1606 16.1949 8.3024 Å, 90.00 107.36 90.00°
Space group C2/m (No. 12)
Inequivalent atoms, fractional coordinates:
Sr 0.0000 0.0000 0.0000 x2
Mg 0.0000 0.5000 0.5000 x2
Mg 0.2500 0.2500 0.0000 x4
Pb 0.0000 0.0000 0.5000 x2
Pb 0.0927 0.3916 0.2091 x8
Pb 0.1552 0.1805 0.3400 x8

---

Computed X-ray powder pattern of SrMg3Pb2 for Cu Kα (weighted mean of Kα1 and Kα2), from a DFT-relaxed cell (PBE, Alexandria).
No peak broadening, texture or thermal motion is included.

Main lines, low angle first (2θ from 10° to 80°):
| (hkl) | 2θ/deg | d_spacing | I (rel.) |
| --- | --- | --- | --- |
| 1 1 -1 | 21.31 | 4.169 | 51 |
| 4 0 -2 | 22.85 | 3.892 | 42 |
| 3 1 0 | 24.86 | 3.582 | 100 |
| 1 1 -2 | 27.92 | 3.195 | 30 |
| 3 1 1 | 30.26 | 2.954 | 47 |
| 4 0 -3 | 30.62 | 2.920 | 73 |
| 1 1 -3 | 37.06 | 2.426 | 62 |
| 5 1 -3 | 37.55 | 2.396 | 31 |
| 0 2 0 | 38.21 | 2.356 | 42 |
| 8 0 -1 | 39.71 | 2.270 | 35 |

Crystal structure
Cell: 18.6024 4.7111 8.9505 Å, 90.00 117.22 90.00°
Space group C2/m (No. 12)
Inequivalent atoms, fractional coordinates:
Sr 0.1374 0.0000 0.0517 x4
Mg 0.0509 0.0000 0.4033 x4
Mg 0.0942 0.5000 0.6676 x4
Mg 0.1882 0.5000 0.4620 x4
Pb 0.0170 0.5000 0.1859 x4
Pb 0.2116 0.0000 0.7254 x4

---

Computed X-ray powder pattern of TbMg2Pb for Cu Kα (weighted mean of Kα1 and Kα2), from a DFT-relaxed cell (PBE, Alexandria).
No peak broadening, texture or thermal motion is included.

Main lines, low angle first (2θ from 10° to 80°):
| (hkl) | 2θ/deg | d_spacing | I (rel.) |
| --- | --- | --- | --- |
| 0 0 1 | 18.42 | 4.816 | 59 |
| 1 1 0 | 27.59 | 3.233 | 46 |
| 1 1 1 | 33.38 | 2.684 | 100 |
| 0 0 2 | 37.35 | 2.408 | 19 |
| 2 0 0 | 39.41 | 2.286 | 32 |
| 2 0 1 | 43.84 | 2.065 | 27 |
| 1 1 2 | 47.06 | 1.931 | 22 |
| 2 0 2 | 55.42 | 1.658 | 24 |
| 1 1 3 | 64.85 | 1.438 | 15 |
| 3 1 1 | 67.65 | 1.385 | 26 |

Crystal structure
Cell: 4.5724 4.5724 4.8158 Å, 90.00 90.00 90.00°
Space group P4/mmm (No. 123)
Inequivalent atoms, fractional coordinates:
Tb 0.0000 0.0000 0.0000 x1
Mg 0.0000 0.5000 0.5000 x2
Pb 0.5000 0.5000 0.0000 x1

---

Computed X-ray powder pattern of Tb2MgPb2 for Cu Kα (weighted mean of Kα1 and Kα2), from a DFT-relaxed cell (PBE, Alexandria).
No peak broadening, texture or thermal motion is included.

Main lines, low angle first (2θ from 10° to 80°):
| (hkl) | 2θ/deg | d_spacing | I (rel.) |
| --- | --- | --- | --- |
| 0 4 1 | 24.33 | 3.659 | 21 |
| 0 0 2 | 25.51 | 3.491 | 29 |
| 1 3 1 | 27.35 | 3.260 | 24 |
| 1 5 0 | 32.01 | 2.796 | 100 |
| 1 3 2 | 35.41 | 2.535 | 73 |
| 2 0 0 | 37.33 | 2.409 | 35 |
| 1 5 2 | 41.34 | 2.184 | 25 |
| 0 8 2 | 49.84 | 1.830 | 22 |
| 3 5 0 | 63.93 | 1.456 | 31 |
| 2 0 4 | 66.09 | 1.414 | 21 |

Crystal structure
Cell: 4.8178 17.1845 6.9824 Å, 90.00 90.00 90.00°
Space group Cmc2_1 (No. 36)
Inequivalent atoms, fractional coordinates:
Tb 0.0000 0.0130 0.0000 x4
Tb 0.0000 0.1959 0.3080 x4
Mg 0.0000 0.3960 0.1893 x4
Pb 0.0000 0.1833 0.7953 x4
Pb 0.0000 0.4286 0.7612 x4

---

Computed X-ray powder pattern of Tb2MgPb3 for Cu Kα (weighted mean of Kα1 and Kα2), from a DFT-relaxed cell (PBE, Alexandria).
No peak broadening, texture or thermal motion is included.

Main lines, low angle first (2θ from 10° to 80°):
| (hkl) | 2θ/deg | d_spacing | I (rel.) |
| --- | --- | --- | --- |
| 0 2 1 | 22.01 | 4.039 | 11 |
| 1 3 1 | 32.55 | 2.751 | 100 |
| 0 6 0 | 34.60 | 2.592 | 20 |
| 0 0 2 | 38.08 | 2.363 | 17 |
| 2 0 0 | 40.42 | 2.231 | 14 |
| 0 6 2 | 52.39 | 1.746 | 13 |
| 1 9 1 | 60.72 | 1.525 | 15 |
| 1 3 3 | 65.35 | 1.428 | 14 |
| 2 6 2 | 68.19 | 1.375 | 12 |
| 3 3 1 | 68.56 | 1.369 | 12 |

Crystal structure
Cell: 4.4630 15.5543 4.7260 Å, 90.00 90.00 90.00°
Space group Cmmm (No. 65)
Inequivalent atoms, fractional coordinates:
Tb 0.0000 0.1540 0.0000 x4
Mg 0.0000 0.0000 0.5000 x2
Pb 0.0000 0.3307 0.5000 x4
Pb 0.0000 0.5000 0.0000 x2

---

Computed X-ray powder pattern of Tb3MgPb2 for Cu Kα (weighted mean of Kα1 and Kα2), from a DFT-relaxed cell (PBE, Alexandria).
No peak broadening, texture or thermal motion is included.

Main lines, low angle first (2θ from 10° to 80°):
| (hkl) | 2θ/deg | d_spacing | I (rel.) |
| --- | --- | --- | --- |
| 2 0 0 | 27.64 | 3.227 | 45 |
| 0 0 2 | 27.96 | 3.191 | 45 |
| 2 2 0 | 29.64 | 3.014 | 50 |
| 0 2 2 | 29.94 | 2.984 | 52 |
| 0 6 0 | 31.86 | 2.809 | 52 |
| 2 4 0 | 35.02 | 2.562 | 78 |
| 0 4 2 | 35.28 | 2.544 | 83 |
| 1 6 1 | 37.66 | 2.388 | 56 |
| 2 0 2 | 39.73 | 2.269 | 100 |
| 2 6 2 | 51.80 | 1.765 | 54 |

Crystal structure
Cell: 6.4542 16.8539 6.3813 Å, 90.00 90.00 90.00°
Space group Ibam (No. 72)
Inequivalent atoms, fractional coordinates:
Tb 0.0000 0.0000 0.2500 x4
Tb 0.2374 0.3261 0.0000 x8
Mg 0.0000 0.5000 0.2500 x4
Pb 0.2432 0.1383 0.0000 x8

---

Computed X-ray powder pattern of Mg2TePb for Cu Kα (weighted mean of Kα1 and Kα2), from a DFT-relaxed cell (PBE, Alexandria).
No peak broadening, texture or thermal motion is included.

Main lines, low angle first (2θ from 10° to 80°):
| (hkl) | 2θ/deg | d_spacing | I (rel.) |
| --- | --- | --- | --- |
| 0 1 0 | 23.16 | 3.840 | 36 |
| 1 0 0 | 23.29 | 3.820 | 35 |
| 0 0 2 | 25.03 | 3.558 | 30 |
| 1 1 0 | 33.08 | 2.708 | 56 |
| 1 0 2 | 34.41 | 2.607 | 100 |
| 1 1 2 | 41.93 | 2.155 | 32 |
| 1 0 4 | 57.09 | 1.613 | 14 |
| 1 2 2 | 59.85 | 1.545 | 20 |
| 2 1 2 | 60.02 | 1.541 | 20 |
| 1 1 4 | 62.47 | 1.487 | 18 |

Crystal structure
Cell: 3.8198 3.8402 7.1150 Å, 90.00 90.00 90.00°
Space group Pmmm (No. 47)
Inequivalent atoms, fractional coordinates:
Mg 0.0000 0.0000 0.2287 x2
Te 0.5000 0.5000 0.0000 x1
Pb 0.5000 0.5000 0.5000 x1

---

Computed X-ray powder pattern of ThMg4Pb for Cu Kα (weighted mean of Kα1 and Kα2), from a DFT-relaxed cell (PBE, Alexandria).
No peak broadening, texture or thermal motion is included.

Main lines, low angle first (2θ from 10° to 80°):
| (hkl) | 2θ/deg | d_spacing | I (rel.) |
| --- | --- | --- | --- |
| 1 1 1 | 18.01 | 4.924 | 73 |
| 2 2 0 | 29.63 | 3.015 | 100 |
| 3 1 1 | 34.89 | 2.572 | 90 |
| 4 0 0 | 42.39 | 2.132 | 11 |
| 3 3 1 | 46.41 | 1.957 | 21 |
| 4 2 2 | 52.57 | 1.741 | 42 |
| 5 1 1 | 56.03 | 1.641 | 31 |
| 4 4 0 | 61.50 | 1.508 | 20 |
| 5 3 1 | 64.65 | 1.442 | 16 |
| 6 2 0 | 69.73 | 1.349 | 18 |

Crystal structure
Cell: 8.5288 8.5288 8.5288 Å, 90.00 90.00 90.00°
Space group F-43m (No. 216)
Inequivalent atoms, fractional coordinates:
Th 0.0000 0.0000 0.0000 x4
Mg 0.1249 0.1249 0.6249 x16
Pb 0.2500 0.2500 0.2500 x4